For Tm4Fe2SnGe4, a cell relaxed with GGA-PBE gives the simulated powder diffractogram in this record (CuKα).
Neutral-atom scattering factors, no anomalous dispersion.

Most intense lines, 2θ from 10° to 90°, sorted by position:
2θ 33.65, I = 81; 2θ 34.98, I = 100; 2θ 35.23, I = 36; 2θ 36.54, I = 72; 2θ 37.55, I = 30; 2θ 43.02, I = 50

Structural model:
Cell: 7.9402 7.9402 6.9526 Å, 107.28 107.28 30.71°
Fractional coordinates of all 11 atoms:
Tm1 0.0899 0.0899 0.3856
Tm2 0.1539 0.1539 0.9402
Tm3 0.8461 0.8461 0.0598
Tm4 0.9101 0.9101 0.6144
Fe1 0.2789 0.2789 0.3711
Fe2 0.7211 0.7211 0.6289
Sn1 0.5000 0.5000 0.0000
Ge1 0.2913 0.2913 0.7279
Ge2 0.4295 0.4295 0.3446
Ge3 0.5705 0.5705 0.6554
Ge4 0.7087 0.7087 0.2721

---

For CoBPb, a cell relaxed with GGA-PBE gives the simulated powder diffractogram in this record (CuKα).
Neutral-atom scattering factors, no anomalous dispersion.

Most intense lines, 2θ from 10° to 90°, sorted by position:
2θ 27.61, I = 58; 2θ 31.99, I = 100; 2θ 45.87, I = 83; 2θ 54.38, I = 29; 2θ 76.08, I = 34; 2θ 84.91, I = 29

Structural model:
Cell: 3.9564 3.9564 3.9564 Å, 60.00 60.00 60.00°
Fractional coordinates of all 3 atoms:
Co1 0.0000 0.0000 0.0000
B1 0.7500 0.7500 0.7500
Pb1 0.5000 0.5000 0.5000

---

For Cs7Cd3Br13, a cell relaxed with GGA-PBE gives the simulated powder diffractogram in this record (CuKα).
Neutral-atom scattering factors, no anomalous dispersion.

Most intense lines, 2θ from 10° to 90°, sorted by position:
2θ 25.02, I = 55; 2θ 25.96, I = 100; 2θ 27.58, I = 33; 2θ 28.44, I = 35; 2θ 29.29, I = 41; 2θ 31.57, I = 64

Structural model:
Cell: 14.1248 14.1248 14.1248 Å, 99.27 99.27 132.68°
Fractional coordinates of all 46 atoms:
Cs1 0.0000 0.0000 0.0000
Cs2 0.0001 0.3001 0.2996
Cs3 0.0005 0.7006 0.7004
Cs4 0.0388 0.0388 0.5776
Cs5 0.1999 0.4999 0.7004
Cs6 0.2994 0.9999 0.3000
Cs7 0.4612 0.4612 0.4224
Cs8 0.5001 0.2006 0.7000
Cs9 0.5000 0.5000 0.0000
Cs10 0.5005 0.8001 0.3000
Cs11 0.5388 0.9612 0.0000
Cs12 0.6999 0.9995 0.7000
Cs13 0.7994 0.4995 0.2996
Cs14 0.9612 0.5388 0.0000
Cd1 0.1227 0.3773 0.0000
Cd2 0.2500 0.7500 0.5000
Cd3 0.3773 0.1227 0.0000
Cd4 0.6227 0.6227 0.7455
Cd5 0.7500 0.2500 0.5000
Cd6 0.8773 0.8773 0.2545
Br1 0.0000 0.5000 0.5000
Br2 0.0933 0.2375 0.8301
Br3 0.1264 0.1276 0.3547
Br4 0.1393 0.6418 0.2815
Br5 0.1422 0.8607 0.5025
Br6 0.2283 0.8736 0.0012
Br7 0.2368 0.0925 0.8301
Br8 0.2625 0.4067 0.1699
Br9 0.2729 0.6276 0.0012
Br10 0.3582 0.6397 0.4975
Br11 0.3603 0.8578 0.7185
Br12 0.3724 0.3736 0.6453
Br13 0.4075 0.2632 0.1699
Br14 0.5000 0.0000 0.5000
Br15 0.5933 0.7632 0.8558
Br16 0.6264 0.2717 0.9988
Br17 0.6393 0.3578 0.4975
Br18 0.6422 0.1397 0.2815
Br19 0.7283 0.7271 0.3547
Br20 0.7368 0.9067 0.1442
Br21 0.7625 0.5925 0.8558
Br22 0.7729 0.7717 0.6453
Br23 0.8582 0.3607 0.7185
Br24 0.8603 0.1418 0.5025
Br25 0.8724 0.2271 0.9988
Br26 0.9075 0.7375 0.1442

---

For PaMoOs, a cell relaxed with GGA-PBE gives the simulated powder diffractogram in this record (CuKα).
Neutral-atom scattering factors, no anomalous dispersion.

Most intense lines, 2θ from 10° to 90°, sorted by position:
2θ 24.16, I = 47; 2θ 39.97, I = 100; 2θ 47.25, I = 25; 2θ 57.80, I = 17; 2θ 72.59, I = 35; 2θ 86.24, I = 12

Structural model:
Cell: 4.5115 4.5115 4.5115 Å, 60.00 60.00 60.00°
Fractional coordinates of all 3 atoms:
Pa1 0.0000 0.0000 0.0000
Mo1 0.5000 0.5000 0.5000
Os1 0.7500 0.7500 0.7500

---

For Ag9As, a cell relaxed with GGA-PBE gives the simulated powder diffractogram in this record (CuKα).
Neutral-atom scattering factors, no anomalous dispersion.

Most intense lines, 2θ from 10° to 90°, sorted by position:
2θ 36.76, I = 67; 2θ 38.15, I = 100; 2θ 38.81, I = 42; 2θ 42.81, I = 43; 2θ 44.63, I = 26; 2θ 44.93, I = 31

Structural model:
Cell: 2.9082 4.0357 36.8718 Å, 90.00 90.00 90.00°
Fractional coordinates of all 20 atoms:
Ag1 0.2500 0.2500 0.0199
Ag2 0.2500 0.2500 0.0998
Ag3 0.2500 0.2500 0.1802
Ag4 0.2500 0.2500 0.2615
Ag5 0.2500 0.2500 0.3463
Ag6 0.2500 0.2500 0.6975
Ag7 0.2500 0.2500 0.7787
Ag8 0.2500 0.2500 0.8599
Ag9 0.2500 0.2500 0.9401
Ag10 0.7500 0.7500 0.0599
Ag11 0.7500 0.7500 0.1401
Ag12 0.7500 0.7500 0.2213
Ag13 0.7500 0.7500 0.3025
Ag14 0.7500 0.7500 0.6537
Ag15 0.7500 0.7500 0.7385
Ag16 0.7500 0.7500 0.8198
Ag17 0.7500 0.7500 0.9002
Ag18 0.7500 0.7500 0.9801
As1 0.2500 0.2500 0.6214
As2 0.7500 0.7500 0.3786

---

For CuAg, a cell relaxed with GGA-PBE gives the simulated powder diffractogram in this record (CuKα).
Neutral-atom scattering factors, no anomalous dispersion.

Most intense lines, 2θ from 10° to 90°, sorted by position:
2θ 35.33, I = 16; 2θ 40.49, I = 32; 2θ 40.98, I = 48; 2θ 41.04, I = 41; 2θ 41.28, I = 47; 2θ 41.46, I = 100

Structural model:
Cell: 6.8545 7.6254 17.6637 Å, 89.36 80.91 67.05°
Fractional coordinates of all 56 atoms:
Cu1 0.0000 0.0000 0.0000
Cu2 0.0041 0.7126 0.4917
Cu3 0.0668 0.1177 0.3779
Cu4 0.0727 0.8243 0.8728
Cu5 0.1482 0.9268 0.2517
Cu6 0.1758 0.0762 0.1252
Cu7 0.1804 0.7910 0.6243
Cu8 0.2018 0.9355 0.4929
Cu9 0.2714 0.0429 0.8788
Cu10 0.2765 0.7488 0.3683
Cu11 0.3436 0.1589 0.2533
Cu12 0.3462 0.8671 0.7505
Cu13 0.3818 0.7169 0.1323
Cu14 0.3827 0.0080 0.6237
Cu15 0.3979 0.8877 0.0037
Cu16 0.4673 0.9892 0.3720
Cu17 0.5481 0.7971 0.2494
Cu18 0.5517 0.0778 0.7475
Cu19 0.5687 0.9628 0.1292
Cu20 0.6081 0.8370 0.4972
Cu21 0.6725 0.9339 0.8749
Cu22 0.7393 0.0280 0.2506
Cu23 0.7840 0.8995 0.6184
Cu24 0.7910 0.0763 0.4977
Cu25 0.7949 0.7886 0.0023
Cu26 0.8744 0.8825 0.3752
Cu27 0.9476 0.9757 0.7494
Cu28 0.9822 0.8513 0.1262
Ag1 0.0113 0.6513 0.2504
Ag2 0.0656 0.4974 0.6144
Ag3 0.0971 0.2963 0.0043
Ag4 0.1340 0.2522 0.7488
Ag5 0.1761 0.4318 0.3727
Ag6 0.2106 0.6171 0.0016
Ag7 0.2428 0.5747 0.7469
Ag8 0.2819 0.3851 0.1322
Ag9 0.3334 0.2149 0.4987
Ag10 0.3930 0.3317 0.8704
Ag11 0.4183 0.5559 0.4979
Ag12 0.4739 0.4787 0.2502
Ag13 0.4970 0.6611 0.8710
Ag14 0.5126 0.2936 0.6225
Ag15 0.5512 0.1624 0.0028
Ag16 0.6044 0.6291 0.6249
Ag17 0.6353 0.2628 0.3766
Ag18 0.6459 0.4985 0.0070
Ag19 0.6898 0.3725 0.7478
Ag20 0.7055 0.6090 0.3691
Ag21 0.7476 0.2303 0.1240
Ag22 0.7913 0.7037 0.7471
Ag23 0.8224 0.5769 0.1289
Ag24 0.8466 0.2082 0.8811
Ag25 0.8718 0.3998 0.4927
Ag26 0.9286 0.3094 0.2502
Ag27 0.9467 0.5369 0.8808
Ag28 0.9653 0.1647 0.6165

---

For Hf2ZrNi2Bi4Pd2, a cell relaxed with GGA-PBE gives the simulated powder diffractogram in this record (CuKα).
Neutral-atom scattering factors, no anomalous dispersion.

Most intense lines, 2θ from 10° to 90°, sorted by position:
2θ 26.99, I = 34; 2θ 34.06, I = 100; 2θ 34.89, I = 34; 2θ 34.98, I = 31; 2θ 40.81, I = 59; 2θ 41.84, I = 42

Structural model:
Cell: 7.1887 4.3185 7.7311 Å, 90.00 92.89 90.00°
Fractional coordinates of all 11 atoms:
Hf1 0.0000 0.0000 0.0000
Hf2 0.4956 0.5000 0.4457
Zr1 0.4469 0.0000 0.9998
Ni1 0.3672 0.0000 0.6578
Ni2 0.5456 0.5000 0.7802
Bi1 0.1657 0.0000 0.3632
Bi2 0.1730 0.5000 0.7743
Bi3 0.7332 0.5000 0.1001
Bi4 0.7430 0.0000 0.6746
Pd1 0.2427 0.5000 0.1471
Pd2 0.7395 0.0000 0.3241

---

For ZrGe2PbO7, a cell relaxed with GGA-PBE gives the simulated powder diffractogram in this record (CuKα).
Neutral-atom scattering factors, no anomalous dispersion.

Most intense lines, 2θ from 10° to 90°, sorted by position:
2θ 15.99, I = 26; 2θ 26.12, I = 30; 2θ 27.47, I = 100; 2θ 28.55, I = 60; 2θ 32.30, I = 54; 2θ 46.67, I = 27

Structural model:
Cell: 5.7040 5.7040 4.8686 Å, 96.20 96.20 101.32°
Fractional coordinates of all 11 atoms:
Zr1 0.0000 0.0000 0.0000
Ge1 0.1007 0.4634 0.5669
Ge2 0.5366 0.8993 0.4331
Pb1 0.5901 0.4099 0.0000
O1 0.1731 0.2395 0.7624
O2 0.3346 0.0284 0.2323
O3 0.3955 0.6045 0.5000
O4 0.6826 0.0644 0.7477
O5 0.7605 0.8269 0.2376
O6 0.9356 0.3174 0.2523
O7 0.9716 0.6654 0.7677

---

For FeH4C6N6, a cell relaxed with GGA-PBE gives the simulated powder diffractogram in this record (CuKα).
Neutral-atom scattering factors, no anomalous dispersion.

Most intense lines, 2θ from 10° to 90°, sorted by position:
2θ 15.19, I = 42; 2θ 15.59, I = 100; 2θ 15.99, I = 55; 2θ 19.25, I = 72; 2θ 22.12, I = 70; 2θ 28.57, I = 71

Structural model:
Cell: 6.0352 11.0855 6.8496 Å, 90.00 104.88 90.00°
Fractional coordinates of all 34 atoms:
Fe1 0.0000 0.0000 0.0000
Fe2 0.0000 0.5000 0.5000
H1 0.2867 0.1018 0.5522
H2 0.2867 0.3982 0.0522
H3 0.4378 0.7111 0.1090
H4 0.4378 0.7889 0.6090
H5 0.5622 0.2111 0.3910
H6 0.5622 0.2889 0.8910
H7 0.7133 0.6018 0.9478
H8 0.7133 0.8982 0.4478
C1 0.1343 0.0503 0.8002
C2 0.1343 0.4497 0.3002
C3 0.1842 0.6364 0.5409
C4 0.1842 0.8636 0.0409
C5 0.2251 0.0797 0.1956
C6 0.2251 0.4203 0.6956
C7 0.7749 0.5797 0.3044
C8 0.7749 0.9203 0.8044
C9 0.8158 0.1364 0.9591
C10 0.8158 0.3636 0.4591
C11 0.8657 0.5503 0.6998
C12 0.8657 0.9497 0.1998
N1 0.2202 0.0821 0.6745
N2 0.2202 0.4179 0.1745
N3 0.3020 0.7216 0.5691
N4 0.3020 0.7784 0.0691
N5 0.3642 0.1250 0.3276
N6 0.3642 0.3750 0.8276
N7 0.6358 0.6250 0.1724
N8 0.6358 0.8750 0.6724
N9 0.6980 0.2216 0.9309
N10 0.6980 0.2784 0.4309
N11 0.7798 0.5821 0.8255
N12 0.7798 0.9179 0.3255

---

For Ac2Pa2O5, a cell relaxed with GGA-PBE gives the simulated powder diffractogram in this record (CuKα).
Neutral-atom scattering factors, no anomalous dispersion.

Most intense lines, 2θ from 10° to 90°, sorted by position:
2θ 28.56, I = 47; 2θ 28.70, I = 100; 2θ 40.83, I = 25; 2θ 50.66, I = 44; 2θ 50.92, I = 21; 2θ 66.97, I = 19

Structural model:
Cell: 4.4205 4.4205 8.7576 Å, 90.00 90.00 90.00°
Fractional coordinates of all 9 atoms:
Ac1 0.0000 0.0000 0.0000
Ac2 0.0000 0.0000 0.5000
Pa1 0.5000 0.5000 0.2385
Pa2 0.5000 0.5000 0.7615
O1 0.0000 0.5000 0.3002
O2 0.0000 0.5000 0.6998
O3 0.5000 0.0000 0.3002
O4 0.5000 0.0000 0.6998
O5 0.5000 0.5000 0.5000

---

For K2TaF6, a cell relaxed with GGA-PBE gives the simulated powder diffractogram in this record (CuKα).
Neutral-atom scattering factors, no anomalous dispersion.

Most intense lines, 2θ from 10° to 90°, sorted by position:
2θ 19.89, I = 28; 2θ 20.93, I = 100; 2θ 27.22, I = 30; 2θ 32.14, I = 43; 2θ 35.44, I = 36; 2θ 38.08, I = 33

Structural model:
Cell: 5.5700 5.5700 8.9278 Å, 90.00 90.00 120.00°
Fractional coordinates of all 18 atoms:
K1 0.0000 0.0000 0.0000
K2 0.0000 0.0000 0.5000
K3 0.3333 0.6667 0.2371
K4 0.6667 0.3333 0.7371
Ta1 0.3333 0.6667 0.8485
Ta2 0.6667 0.3333 0.3485
F1 0.0072 0.5036 0.9843
F2 0.1591 0.3183 0.7339
F3 0.1591 0.8409 0.7339
F4 0.3183 0.1591 0.2339
F5 0.4964 0.5036 0.9843
F6 0.4964 0.9928 0.9843
F7 0.5036 0.0072 0.4843
F8 0.5036 0.4964 0.4843
F9 0.6817 0.8409 0.7339
F10 0.8409 0.1591 0.2339
F11 0.8409 0.6817 0.2339
F12 0.9928 0.4964 0.4843